[1]
For Hf5Fe3, a crystal structure in Alexandria, relaxed with PBE gives the simulated X-ray diffraction stick pattern in this record (Cu Kα X-rays).
Lines closer than 0.1° are merged.

Main lines, in order of rising 2θ (10 to 90 degrees two-theta):
2θ (°)	Rel. int.
29.0	24.5
38.9	100.0
40.3	51.0
58.3	17.2
69.5	13.1
72.3	31.9

Structure:
```
data_Hf5Fe3
_chemical_formula_sum 'Hf5 Fe3'
_symmetry_space_group_name_H-M 'P 1'
_symmetry_Int_Tables_number 1
_cell_length_a 3.166
_cell_length_b 3.166
_cell_length_c 13.585
_cell_angle_alpha 90.00
_cell_angle_beta 90.00
_cell_angle_gamma 90.00
loop_
_symmetry_equiv_pos_as_xyz
'x,y,z'
loop_
_atom_site_label
_atom_site_type_symbol
_atom_site_fract_x
_atom_site_fract_y
_atom_site_fract_z
Hf1 Hf 0.000 0.000 0.000
Hf2 Hf 0.000 0.000 0.230
Hf3 Hf 0.000 0.000 0.770
Hf4 Hf 0.500 0.500 0.385
Hf5 Hf 0.500 0.500 0.615
Fe1 Fe 0.000 0.000 0.500
Fe2 Fe 0.500 0.500 0.114
Fe3 Fe 0.500 0.500 0.886
```

[2]
For HfFe2, a crystal structure in Alexandria, relaxed with PBE gives the simulated X-ray diffraction stick pattern in this record (Cu Kα X-rays).
Lines closer than 0.1° are merged.

Main lines, in order of rising 2θ (10 to 90 degrees two-theta):
2θ (°)	Rel. int.
34.9	25.0
36.4	73.4
39.7	78.3
43.0	100.0
43.8	37.9
67.7	36.2

Structure:
```
data_HfFe2
_chemical_formula_sum 'Hf8 Fe16'
_symmetry_space_group_name_H-M 'P 1'
_symmetry_Int_Tables_number 1
_cell_length_a 4.937
_cell_length_b 4.937
_cell_length_c 16.084
_cell_angle_alpha 90.00
_cell_angle_beta 90.00
_cell_angle_gamma 120.00
loop_
_symmetry_equiv_pos_as_xyz
'x,y,z'
loop_
_atom_site_label
_atom_site_type_symbol
_atom_site_fract_x
_atom_site_fract_y
_atom_site_fract_z
Hf1 Hf 0.000 0.000 0.094
Hf2 Hf 0.000 0.000 0.406
Hf3 Hf 0.000 0.000 0.594
Hf4 Hf 0.000 0.000 0.906
Hf5 Hf 0.333 0.667 0.156
Hf6 Hf 0.333 0.667 0.344
Hf7 Hf 0.667 0.333 0.656
Hf8 Hf 0.667 0.333 0.844
Fe1 Fe 0.000 0.500 0.000
Fe2 Fe 0.000 0.500 0.500
Fe3 Fe 0.165 0.329 0.750
Fe4 Fe 0.165 0.835 0.750
Fe5 Fe 0.329 0.165 0.250
Fe6 Fe 0.333 0.667 0.626
Fe7 Fe 0.333 0.667 0.874
Fe8 Fe 0.500 0.000 0.000
Fe9 Fe 0.500 0.000 0.500
Fe10 Fe 0.500 0.500 0.000
Fe11 Fe 0.500 0.500 0.500
Fe12 Fe 0.667 0.333 0.126
Fe13 Fe 0.667 0.333 0.374
Fe14 Fe 0.671 0.835 0.750
Fe15 Fe 0.835 0.165 0.250
Fe16 Fe 0.835 0.671 0.250
```

[3]
For Hf3Fe, a crystal structure in Alexandria, relaxed with PBE gives the simulated X-ray diffraction stick pattern in this record (Cu Kα X-rays).
Lines closer than 0.1° are merged.

Main lines, in order of rising 2θ (10 to 90 degrees two-theta):
2θ (°)	Rel. int.
34.7	100.0
34.8	74.0
34.9	73.3
36.3	64.8
38.9	73.3
39.0	72.9

Structure:
```
data_Hf3Fe
_chemical_formula_sum 'Hf12 Fe4'
_symmetry_space_group_name_H-M 'P 1'
_symmetry_Int_Tables_number 1
_cell_length_a 7.911
_cell_length_b 7.911
_cell_length_c 5.524
_cell_angle_alpha 110.25
_cell_angle_beta 110.25
_cell_angle_gamma 83.09
loop_
_symmetry_equiv_pos_as_xyz
'x,y,z'
loop_
_atom_site_label
_atom_site_type_symbol
_atom_site_fract_x
_atom_site_fract_y
_atom_site_fract_z
Hf1 Hf 0.000 0.000 0.000
Hf2 Hf 0.000 0.286 0.643
Hf3 Hf 0.163 0.643 0.151
Hf4 Hf 0.357 0.050 0.477
Hf5 Hf 0.357 0.237 0.070
Hf6 Hf 0.357 0.450 0.651
Hf7 Hf 0.357 0.837 0.849
Hf8 Hf 0.550 0.643 0.349
Hf9 Hf 0.713 0.287 0.000
Hf10 Hf 0.714 0.000 0.357
Hf11 Hf 0.763 0.643 0.930
Hf12 Hf 0.950 0.643 0.523
Fe1 Fe 0.065 0.351 0.207
Fe2 Fe 0.065 0.935 0.500
Fe3 Fe 0.648 0.352 0.500
Fe4 Fe 0.649 0.935 0.793
```

[4]
For HfFe2, a crystal structure in Alexandria, relaxed with PBE gives the simulated X-ray diffraction stick pattern in this record (Cu Kα X-rays).
Lines closer than 0.1° are merged.

Main lines, in order of rising 2θ (10 to 90 degrees two-theta):
2θ (°)	Rel. int.
36.3	71.1
39.7	100.0
43.0	97.0
43.8	48.8
67.6	40.3
73.7	26.5

Structure:
```
data_HfFe2
_chemical_formula_sum 'Hf4 Fe8'
_symmetry_space_group_name_H-M 'P 1'
_symmetry_Int_Tables_number 1
_cell_length_a 4.944
_cell_length_b 4.944
_cell_length_c 8.036
_cell_angle_alpha 90.00
_cell_angle_beta 90.00
_cell_angle_gamma 120.00
loop_
_symmetry_equiv_pos_as_xyz
'x,y,z'
loop_
_atom_site_label
_atom_site_type_symbol
_atom_site_fract_x
_atom_site_fract_y
_atom_site_fract_z
Hf1 Hf 0.333 0.667 0.062
Hf2 Hf 0.333 0.667 0.438
Hf3 Hf 0.667 0.333 0.562
Hf4 Hf 0.667 0.333 0.938
Fe1 Fe 0.000 0.000 0.000
Fe2 Fe 0.000 0.000 0.500
Fe3 Fe 0.168 0.337 0.750
Fe4 Fe 0.168 0.832 0.750
Fe5 Fe 0.337 0.168 0.250
Fe6 Fe 0.663 0.832 0.750
Fe7 Fe 0.832 0.168 0.250
Fe8 Fe 0.832 0.663 0.250
```

[5]
For Hf2FeHgMo, a crystal structure in Alexandria, relaxed with PBE gives the simulated X-ray diffraction stick pattern in this record (Cu Kα X-rays).
Lines closer than 0.1° are merged.

Main lines, in order of rising 2θ (10 to 90 degrees two-theta):
2θ (°)	Rel. int.
17.2	62.5
17.7	78.6
30.4	54.8
34.9	100.0
35.9	46.2
50.9	68.3

Structure:
```
data_Hf2FeHgMo
_chemical_formula_sum 'Hf2 Fe1 Hg1 Mo1'
_symmetry_space_group_name_H-M 'P 1'
_symmetry_Int_Tables_number 1
_cell_length_a 5.149
_cell_length_b 5.149
_cell_length_c 5.007
_cell_angle_alpha 90.00
_cell_angle_beta 90.00
_cell_angle_gamma 90.00
loop_
_symmetry_equiv_pos_as_xyz
'x,y,z'
loop_
_atom_site_label
_atom_site_type_symbol
_atom_site_fract_x
_atom_site_fract_y
_atom_site_fract_z
Hf1 Hf 0.000 0.500 0.000
Hf2 Hf 0.500 0.000 0.000
Fe1 Fe 0.000 0.000 0.500
Hg1 Hg 0.500 0.500 0.000
Mo1 Mo 0.500 0.500 0.500
```

[6]
For HoHfFe, a crystal structure in Alexandria, relaxed with PBE gives the simulated X-ray diffraction stick pattern in this record (Cu Kα X-rays).
Lines closer than 0.1° are merged.

Main lines, in order of rising 2θ (10 to 90 degrees two-theta):
2θ (°)	Rel. int.
31.2	51.6
31.4	55.2
32.2	45.5
32.3	100.0
40.6	54.7
40.9	65.9

Structure:
```
data_HoHfFe
_chemical_formula_sum 'Ho4 Hf4 Fe4'
_symmetry_space_group_name_H-M 'P 1'
_symmetry_Int_Tables_number 1
_cell_length_a 7.065
_cell_length_b 7.065
_cell_length_c 6.428
_cell_angle_alpha 90.00
_cell_angle_beta 90.00
_cell_angle_gamma 128.31
loop_
_symmetry_equiv_pos_as_xyz
'x,y,z'
loop_
_atom_site_label
_atom_site_type_symbol
_atom_site_fract_x
_atom_site_fract_y
_atom_site_fract_z
Ho1 Ho 0.195 0.805 0.899
Ho2 Ho 0.305 0.695 0.399
Ho3 Ho 0.695 0.305 0.601
Ho4 Ho 0.805 0.195 0.101
Hf1 Hf 0.223 0.277 0.750
Hf2 Hf 0.277 0.223 0.250
Hf3 Hf 0.723 0.777 0.750
Hf4 Hf 0.777 0.723 0.250
Fe1 Fe 0.104 0.896 0.535
Fe2 Fe 0.396 0.604 0.035
Fe3 Fe 0.604 0.396 0.965
Fe4 Fe 0.896 0.104 0.465
```

[7]
For Hf5InFe4, a crystal structure in Alexandria, relaxed with PBE gives the simulated X-ray diffraction stick pattern in this record (Cu Kα X-rays).
Lines closer than 0.1° are merged.

Main lines, in order of rising 2θ (10 to 90 degrees two-theta):
2θ (°)	Rel. int.
28.9	35.2
38.8	100.0
41.3	75.6
42.5	45.1
59.8	25.0
73.6	29.7

Structure:
```
data_Hf5InFe4
_chemical_formula_sum 'Hf5 In1 Fe4'
_symmetry_space_group_name_H-M 'P 1'
_symmetry_Int_Tables_number 1
_cell_length_a 3.092
_cell_length_b 3.092
_cell_length_c 17.564
_cell_angle_alpha 90.00
_cell_angle_beta 90.00
_cell_angle_gamma 90.00
loop_
_symmetry_equiv_pos_as_xyz
'x,y,z'
loop_
_atom_site_label
_atom_site_type_symbol
_atom_site_fract_x
_atom_site_fract_y
_atom_site_fract_z
Hf1 Hf 0.000 0.000 0.000
Hf2 Hf 0.000 0.000 0.181
Hf3 Hf 0.000 0.000 0.364
Hf4 Hf 0.000 0.000 0.636
Hf5 Hf 0.000 0.000 0.819
In1 In 0.500 0.500 0.500
Fe1 Fe 0.500 0.500 0.090
Fe2 Fe 0.500 0.500 0.272
Fe3 Fe 0.500 0.500 0.728
Fe4 Fe 0.500 0.500 0.910
```

[8]
For Hf6InFe2, a crystal structure in Alexandria, relaxed with PBE gives the simulated X-ray diffraction stick pattern in this record (Cu Kα X-rays).
Lines closer than 0.1° are merged.

Main lines, in order of rising 2θ (10 to 90 degrees two-theta):
2θ (°)	Rel. int.
29.4	29.6
33.4	32.1
34.9	100.0
36.5	37.2
37.6	54.9
38.8	30.0

Structure:
```
data_Hf6InFe2
_chemical_formula_sum 'Hf12 In2 Fe4'
_symmetry_space_group_name_H-M 'P 1'
_symmetry_Int_Tables_number 1
_cell_length_a 7.772
_cell_length_b 7.772
_cell_length_c 7.772
_cell_angle_alpha 114.07
_cell_angle_beta 111.86
_cell_angle_gamma 102.70
loop_
_symmetry_equiv_pos_as_xyz
'x,y,z'
loop_
_atom_site_label
_atom_site_type_symbol
_atom_site_fract_x
_atom_site_fract_y
_atom_site_fract_z
Hf1 Hf 0.024 0.234 0.789
Hf2 Hf 0.186 0.303 0.489
Hf3 Hf 0.186 0.697 0.884
Hf4 Hf 0.328 0.019 0.690
Hf5 Hf 0.328 0.638 0.310
Hf6 Hf 0.445 0.234 0.211
Hf7 Hf 0.555 0.766 0.789
Hf8 Hf 0.672 0.362 0.690
Hf9 Hf 0.672 0.981 0.310
Hf10 Hf 0.814 0.303 0.116
Hf11 Hf 0.814 0.697 0.511
Hf12 Hf 0.976 0.766 0.211
In1 In 0.000 0.000 0.000
In2 In 0.500 0.500 0.000
Fe1 Fe 0.133 0.633 0.500
Fe2 Fe 0.335 0.000 0.335
Fe3 Fe 0.665 0.000 0.665
Fe4 Fe 0.867 0.367 0.500
```